Entry 1:
Simulated X-ray diffraction stick pattern
Compound: ZrTiPb2O6
Radiation: Cu Kα X-rays
Structure: a crystal structure in the Materials Project, relaxed with PBE

a = 5.6932 Å, b = 5.6932 Å, c = 4.4301 Å
α = 90.00°, β = 90.00°, γ = 90.00°
Fractional coordinates of all 10 atoms:
Zr 0.0000 0.0000 0.0000
Ti 0.5000 0.5000 0.9911
Pb 0.0000 0.5000 0.4381
Pb 0.5000 0.0000 0.4381
O 0.0000 0.0000 0.5515
O 0.2587 0.2587 0.0900
O 0.2587 0.7413 0.0900
O 0.5000 0.5000 0.5955
O 0.7413 0.2587 0.0900
O 0.7413 0.7413 0.0900

Main lines, by angle (15 to 90 degrees two-theta):
| 2θ/deg | I (rel.) |
| --- | --- |
| 20.04 | 17.4 |
| 22.08 | 19.7 |
| 29.99 | 100.0 |
| 31.43 | 43.9 |
| 37.56 | 23.7 |
| 45.04 | 25.3 |
| 46.81 | 12.6 |
| 52.33 | 22.5 |
| 55.06 | 37.3 |
| 62.33 | 12.7 |

***

Entry 2:
Simulated X-ray diffraction stick pattern
Compound: Tl2Pb2O7
Radiation: Cu Kα X-rays
Structure: a crystal structure in the Materials Project, relaxed with PBE

a = 7.6891 Å, b = 7.6891 Å, c = 7.6891 Å
α = 60.00°, β = 60.00°, γ = 60.00°
Fractional coordinates of all 22 atoms:
Tl 0.0000 0.0000 0.0000
Tl 0.0000 0.0000 0.5000
Tl 0.0000 0.5000 0.0000
Tl 0.5000 0.0000 0.0000
Pb 0.0000 0.5000 0.5000
Pb 0.5000 0.0000 0.5000
Pb 0.5000 0.5000 0.0000
Pb 0.5000 0.5000 0.5000
O 0.1250 0.1250 0.1250
O 0.1545 0.1545 0.5955
O 0.1545 0.5955 0.1545
O 0.1545 0.5955 0.5955
O 0.4045 0.4045 0.8455
O 0.4045 0.8455 0.4045
O 0.4045 0.8455 0.8455
O 0.5955 0.1545 0.1545
O 0.5955 0.1545 0.5955
O 0.5955 0.5955 0.1545
O 0.8455 0.4045 0.4045
O 0.8455 0.4045 0.8455
O 0.8455 0.8455 0.4045
O 0.8750 0.8750 0.8750

Main lines, by angle (15 to 90 degrees two-theta):
| 2θ/deg | I (rel.) |
| --- | --- |
| 28.43 | 100.0 |
| 32.95 | 38.4 |
| 47.29 | 47.2 |
| 56.10 | 46.7 |
| 58.84 | 11.2 |
| 69.11 | 7.3 |
| 76.35 | 19.3 |
| 78.71 | 15.7 |
| 88.00 | 15.7 |

***

Entry 3:
Simulated X-ray diffraction stick pattern
Compound: Tl2Pb3O9
Radiation: Cu Kα X-rays
Structure: a crystal structure in the Materials Project, relaxed with PBE

a = 14.1859 Å, b = 14.1859 Å, c = 14.1859 Å
α = 164.45°, β = 164.45°, γ = 22.06°
Fractional coordinates of all 14 atoms:
Tl 0.1966 0.1966 0.0000
Tl 0.8034 0.8034 0.0000
Pb 0.0000 0.0000 0.0000
Pb 0.4002 0.4002 0.0000
Pb 0.5998 0.5998 0.0000
O 0.0394 0.5394 0.5000
O 0.1393 0.6393 0.5000
O 0.2500 0.7500 0.5000
O 0.3607 0.8607 0.5000
O 0.4606 0.9606 0.5000
O 0.5604 0.0604 0.5000
O 0.6613 0.1613 0.5000
O 0.8387 0.3387 0.5000
O 0.9396 0.4396 0.5000

Main lines, by angle (15 to 90 degrees two-theta):
| 2θ/deg | I (rel.) |
| --- | --- |
| 28.24 | 100.0 |
| 32.14 | 13.6 |
| 33.00 | 24.3 |
| 46.73 | 31.5 |
| 47.36 | 16.1 |
| 54.94 | 15.7 |
| 56.06 | 30.7 |
| 58.40 | 11.0 |
| 75.42 | 12.6 |
| 87.70 | 10.7 |

***

Entry 4:
Simulated X-ray diffraction stick pattern
Compound: UPbO4
Radiation: Cu Kα X-rays
Structure: a crystal structure in the Materials Project, relaxed with PBE

a = 5.6583 Å, b = 8.0412 Å, c = 8.2909 Å
α = 90.00°, β = 90.00°, γ = 90.00°
Fractional coordinates of all 24 atoms:
U 0.0000 0.0000 0.0000
U 0.0000 0.0000 0.5000
U 0.0000 0.5000 0.0000
U 0.0000 0.5000 0.5000
Pb 0.4953 0.2036 0.2500
Pb 0.4953 0.2964 0.7500
Pb 0.5047 0.7036 0.2500
Pb 0.5047 0.7964 0.7500
O 0.1322 0.0381 0.2500
O 0.1322 0.4619 0.7500
O 0.1539 0.7500 0.0000
O 0.1539 0.7500 0.5000
O 0.2973 0.0853 0.5785
O 0.2973 0.0853 0.9215
O 0.2973 0.4147 0.0785
O 0.2973 0.4147 0.4215
O 0.7027 0.5853 0.5785
O 0.7027 0.5853 0.9215
O 0.7027 0.9147 0.0785
O 0.7027 0.9147 0.4215
O 0.8461 0.2500 0.0000
O 0.8461 0.2500 0.5000
O 0.8678 0.5381 0.2500
O 0.8678 0.9619 0.7500

Main lines, by angle (15 to 90 degrees two-theta):
| 2θ/deg | I (rel.) |
| --- | --- |
| 26.66 | 100.0 |
| 27.21 | 81.9 |
| 30.99 | 53.6 |
| 31.62 | 28.4 |
| 43.67 | 15.5 |
| 44.86 | 44.9 |
| 52.22 | 29.4 |
| 53.16 | 17.0 |
| 53.37 | 16.7 |
| 54.91 | 17.5 |

***

Entry 5:
Simulated X-ray diffraction stick pattern
Compound: U5Pb2O22
Radiation: Cu Kα X-rays
Structure: a crystal structure in the Materials Project, relaxed with PBE

a = 11.5344 Å, b = 6.8384 Å, c = 14.9365 Å
α = 90.00°, β = 121.82°, γ = 90.00°
Fractional coordinates of all 58 atoms:
U 0.0000 0.0000 0.0000
U 0.0000 0.5000 0.5000
U 0.1929 0.0350 0.6068
U 0.1929 0.4650 0.1068
U 0.4054 0.0065 0.2100
U 0.4054 0.4935 0.7100
U 0.5946 0.5065 0.2900
U 0.5946 0.9935 0.7900
U 0.8071 0.5350 0.8932
U 0.8071 0.9650 0.3932
Pb 0.2535 0.1030 0.9010
Pb 0.2535 0.3970 0.4010
Pb 0.7465 0.6030 0.5990
Pb 0.7465 0.8970 0.0990
O 0.0289 0.6897 0.0126
O 0.0289 0.8103 0.5126
O 0.0770 0.0208 0.9083
O 0.0770 0.4792 0.4083
O 0.1600 0.0374 0.7186
O 0.1600 0.4626 0.2186
O 0.1923 0.1055 0.1222
O 0.1923 0.3945 0.6222
O 0.2256 0.0783 0.4982
O 0.2256 0.4217 0.9982
O 0.2380 0.1020 0.3492
O 0.2380 0.3980 0.8492
O 0.3268 0.7131 0.1726
O 0.3268 0.7869 0.6726
O 0.3454 0.6636 0.4084
O 0.3454 0.8364 0.9084
O 0.3943 0.0269 0.0770
O 0.3943 0.4731 0.5770
O 0.4046 0.1652 0.7147
O 0.4046 0.3348 0.2147
O 0.4072 0.0147 0.3373
O 0.4072 0.4853 0.8373
O 0.5928 0.5147 0.1627
O 0.5928 0.9853 0.6627
O 0.5954 0.6652 0.7853
O 0.5954 0.8348 0.2853
O 0.6057 0.5269 0.4230
O 0.6057 0.9731 0.9230
O 0.6546 0.1636 0.0916
O 0.6546 0.3364 0.5916
O 0.6732 0.2131 0.3274
O 0.6732 0.2869 0.8274
O 0.7620 0.6020 0.1508
O 0.7620 0.8980 0.6508
O 0.7744 0.5783 0.0018
O 0.7744 0.9217 0.5018
O 0.8077 0.6055 0.3778
O 0.8077 0.8945 0.8778
O 0.8400 0.5374 0.7814
O 0.8400 0.9626 0.2814
O 0.9230 0.5208 0.5917
O 0.9230 0.9792 0.0917
O 0.9711 0.1897 0.4874
O 0.9711 0.3103 0.9874

Main lines, by angle (15 to 90 degrees two-theta):
| 2θ/deg | I (rel.) |
| --- | --- |
| 15.80 | 30.8 |
| 20.30 | 27.8 |
| 24.07 | 88.5 |
| 26.06 | 55.2 |
| 26.16 | 56.4 |
| 27.62 | 100.0 |
| 28.77 | 43.6 |
| 30.05 | 84.5 |
| 33.77 | 30.7 |
| 35.77 | 27.2 |

***

Entry 6:
Simulated X-ray diffraction stick pattern
Compound: Zr2Pb2O5
Radiation: Cu Kα X-rays
Structure: a crystal structure in the Materials Project, relaxed with PBE

a = 8.0817 Å, b = 6.2895 Å, c = 12.3306 Å
α = 90.00°, β = 90.36°, γ = 90.00°
Fractional coordinates of all 36 atoms:
Zr 0.2488 0.1996 0.1061
Zr 0.2488 0.3004 0.6061
Zr 0.2491 0.7031 0.8939
Zr 0.2491 0.7969 0.3939
Zr 0.7509 0.2031 0.6061
Zr 0.7509 0.2969 0.1061
Zr 0.7512 0.6996 0.3939
Zr 0.7512 0.8004 0.8939
Pb 0.0502 0.6859 0.1570
Pb 0.0502 0.8141 0.6570
Pb 0.4621 0.7036 0.1667
Pb 0.4621 0.7964 0.6667
Pb 0.5379 0.2036 0.3333
Pb 0.5379 0.2964 0.8333
Pb 0.9498 0.1859 0.3430
Pb 0.9498 0.3141 0.8430
O 0.0039 0.2196 0.6488
O 0.0039 0.2804 0.1488
O 0.2326 0.0264 0.5027
O 0.2326 0.4736 0.0027
O 0.2360 0.5526 0.5079
O 0.2360 0.9474 0.0079
O 0.2655 0.0220 0.2497
O 0.2655 0.4780 0.7497
O 0.4970 0.2197 0.6307
O 0.4970 0.2803 0.1307
O 0.5030 0.7197 0.8693
O 0.5030 0.7803 0.3693
O 0.7345 0.5220 0.2503
O 0.7345 0.9780 0.7503
O 0.7640 0.0526 0.9921
O 0.7640 0.4474 0.4921
O 0.7674 0.5264 0.9973
O 0.7674 0.9736 0.4973
O 0.9961 0.7196 0.8512
O 0.9961 0.7804 0.3512

Main lines, by angle (15 to 90 degrees two-theta):
| 2θ/deg | I (rel.) |
| --- | --- |
| 26.45 | 23.8 |
| 28.38 | 63.2 |
| 28.97 | 45.1 |
| 29.31 | 26.8 |
| 29.95 | 99.7 |
| 30.08 | 100.0 |
| 32.34 | 62.0 |
| 36.25 | 37.2 |
| 36.96 | 24.8 |
| 41.00 | 35.5 |

***

Entry 7:
Simulated X-ray diffraction stick pattern
Compound: ZrPb2O6
Radiation: Cu Kα X-rays
Structure: a crystal structure in the Materials Project, relaxed with PBE

a = 8.7822 Å, b = 5.9091 Å, c = 11.2868 Å
α = 90.00°, β = 90.27°, γ = 90.00°
Fractional coordinates of all 36 atoms:
Zr 0.2429 0.0000 0.1641
Zr 0.2477 0.4665 0.3593
Zr 0.7523 0.9665 0.6407
Zr 0.7571 0.5000 0.8359
Pb 0.0149 0.0749 0.9136
Pb 0.0919 0.6392 0.6858
Pb 0.3864 0.7150 0.9009
Pb 0.4394 0.6077 0.6152
Pb 0.5606 0.1077 0.3848
Pb 0.6136 0.2150 0.0991
Pb 0.9081 0.1392 0.3142
Pb 0.9851 0.5749 0.0864
O 0.0121 0.9225 0.1852
O 0.0510 0.4356 0.2470
O 0.1297 0.1657 0.3945
O 0.1423 0.2669 0.0329
O 0.1842 0.7814 0.0112
O 0.2173 0.6496 0.5174
O 0.2655 0.8835 0.7635
O 0.3083 0.7380 0.2605
O 0.3125 0.4361 0.7431
O 0.3912 0.2395 0.2458
O 0.4390 0.9983 0.0361
O 0.4520 0.3866 0.4627
O 0.5480 0.8866 0.5373
O 0.5610 0.4983 0.9639
O 0.6088 0.7395 0.7542
O 0.6875 0.9361 0.2569
O 0.6917 0.2380 0.7395
O 0.7345 0.3835 0.2365
O 0.7827 0.1496 0.4826
O 0.8158 0.2814 0.9888
O 0.8577 0.7669 0.9671
O 0.8703 0.6657 0.6055
O 0.9490 0.9356 0.7530
O 0.9879 0.4225 0.8148

Main lines, by angle (15 to 90 degrees two-theta):
| 2θ/deg | I (rel.) |
| --- | --- |
| 16.94 | 84.8 |
| 18.09 | 41.9 |
| 19.73 | 50.7 |
| 21.77 | 23.4 |
| 24.04 | 32.6 |
| 29.85 | 89.2 |
| 29.97 | 100.0 |
| 30.25 | 24.8 |
| 31.61 | 51.7 |
| 32.95 | 34.1 |